# 1
Calculated powder X-ray diffraction pattern of SrTb5S6 for Cu Kα, from a DFT-relaxed cell (GGA-PBE, Alexandria).
Intensities are scaled so that the largest is 100.

Peak list (10 most intense, 15 to 90 degrees two-theta, by angle)
| 2θ (°) | I_rel |
| --- | --- |
| 27.5 | 57 |
| 27.5 | 19 |
| 31.8 | 100 |
| 45.6 | 48 |
| 45.7 | 24 |
| 54.1 | 16 |
| 54.2 | 22 |
| 56.8 | 19 |
| 66.6 | 11 |
| 75.6 | 16 |

Structure:
a b c (Å): 6.8775 6.8775 6.8975
angles (deg): 99.56 99.56 120.08
Positions (direct):
Sr 0.0000 0.0000 0.0000
Tb 0.1630 0.8370 0.5000
Tb 0.3329 0.6671 0.0000
Tb 0.5000 0.5000 0.5000
Tb 0.6671 0.3329 0.0000
Tb 0.8370 0.1630 0.5000
S 0.0859 0.4275 0.2573
S 0.2578 0.2578 0.7481
S 0.4275 0.0859 0.2573
S 0.5725 0.9141 0.7427
S 0.7422 0.7422 0.2519
S 0.9141 0.5725 0.7427

***

# 2
Calculated powder X-ray diffraction pattern of SrTeS3 for Cu Kα, from a DFT-relaxed cell (GGA-PBE, Alexandria).
Intensities are scaled so that the largest is 100.

Peak list (10 most intense, 15 to 90 degrees two-theta, by angle)
| 2θ (°) | I_rel |
| --- | --- |
| 17.0 | 17 |
| 19.1 | 18 |
| 24.5 | 100 |
| 25.3 | 19 |
| 29.2 | 28 |
| 31.5 | 22 |
| 34.5 | 18 |
| 35.3 | 26 |
| 44.0 | 29 |
| 46.1 | 19 |

Structure:
a b c (Å): 7.7172 7.0536 10.1745
angles (deg): 90.00 90.00 90.00
Positions (direct):
Sr 0.0995 0.0384 0.0000
Sr 0.4005 0.5384 0.5000
Sr 0.5995 0.4616 0.0000
Sr 0.9005 0.9616 0.5000
Te 0.0360 0.5358 0.2144
Te 0.4640 0.0358 0.7144
Te 0.5360 0.9642 0.2144
Te 0.9640 0.4642 0.7144
S 0.0417 0.3582 0.4979
S 0.1727 0.8119 0.3043
S 0.2120 0.8379 0.6806
S 0.2880 0.3379 0.1806
S 0.3273 0.3119 0.8043
S 0.4583 0.8582 0.9979
S 0.5417 0.1418 0.4979
S 0.6727 0.6881 0.3043
S 0.7120 0.6621 0.6806
S 0.7880 0.1621 0.1806
S 0.8273 0.1881 0.8043
S 0.9583 0.6418 0.9979

***

# 3
Calculated powder X-ray diffraction pattern of SrTh5S6 for Cu Kα, from a DFT-relaxed cell (GGA-PBE, Alexandria).
Intensities are scaled so that the largest is 100.

Peak list (10 most intense, 15 to 90 degrees two-theta, by angle)
| 2θ (°) | I_rel |
| --- | --- |
| 26.8 | 25 |
| 26.9 | 72 |
| 31.1 | 100 |
| 44.5 | 37 |
| 44.6 | 37 |
| 52.8 | 29 |
| 52.9 | 12 |
| 55.4 | 13 |
| 64.9 | 12 |
| 82.2 | 15 |

Structure:
a b c (Å): 7.0330 7.0330 7.0538
angles (deg): 99.52 99.52 119.95
Positions (direct):
Sr 0.0000 0.0000 0.0000
Th 0.1653 0.8347 0.5000
Th 0.3328 0.6672 0.0000
Th 0.5000 0.5000 0.5000
Th 0.6672 0.3328 0.0000
Th 0.8347 0.1653 0.5000
S 0.0842 0.4195 0.2512
S 0.2531 0.2531 0.7504
S 0.4195 0.0842 0.2512
S 0.5805 0.9158 0.7488
S 0.7469 0.7469 0.2496
S 0.9158 0.5805 0.7488